Simulated X-ray diffraction stick pattern of La4Pr3YS8 for Cu Kα, 1.54184 Å, from a PBE-relaxed structure.
Lines closer than 0.1° are merged.

Peak list (8 most intense, 10° ≤ 2θ ≤ 90°, in order of rising 2θ)
- 26.6°, intensity 68
- 30.8°, intensity 100
- 44.1°, intensity 72
- 52.2°, intensity 34
- 54.7°, intensity 25
- 64.1°, intensity 12
- 72.8°, intensity 32
- 81.0°, intensity 18

Structural model:
```
data_La4Pr3YS8
_space_group_name_H-M_alt 'R -3 m'
_space_group_IT_number 166
_space_group_name_Hall '-R 3 2"'
_cell_length_a 8.2221
_cell_length_b 8.2221
_cell_length_c 20.1044
_cell_angle_alpha 90.00
_cell_angle_beta 90.00
_cell_angle_gamma 120.00
loop_
_atom_site_label
_atom_site_fract_x
_atom_site_fract_y
_atom_site_fract_z
_atom_site_occupancy
La1 0.0000 0.0000 0.0000 1
La2 0.0000 0.5000 0.0000 1
Pr1 0.0000 0.5000 0.5000 1
Y1 0.0000 0.0000 0.5000 1
S1 0.0000 0.0000 0.2495 1
S2 0.0087 0.5044 0.2473 1
```